# LiZn2Fe4O8
Theoretical X-ray diffraction stick pattern, Cu Kα, 1.54184 Å. Input: a structure optimized by DFT (GGA+U).
Neutral-atom scattering factors, no anomalous dispersion.

Peak list (12 most intense, 2θ = 10–90°, low angle first)
| index | d (Å) | 2theta | I_rel |
| --- | --- | --- | --- |
| 3 1 -1 | 3.001 | 29.77 | 20 |
| 1 1 -2 | 2.672 | 33.53 | 23 |
| 0 0 2 | 2.601 | 34.48 | 100 |
| 0 2 1 | 2.576 | 34.83 | 71 |
| 2 2 -1 | 2.543 | 35.29 | 39 |
| 4 0 0 | 2.170 | 41.61 | 23 |
| 2 2 -2 | 2.151 | 42.00 | 41 |
| 2 2 -3 | 1.687 | 54.37 | 19 |
| 3 3 0 | 1.632 | 56.38 | 17 |
| 2 2 2 | 1.557 | 59.36 | 30 |
| 6 2 -2 | 1.500 | 61.85 | 41 |
| 0 4 0 | 1.482 | 62.68 | 17 |

Crystal structure
a = 10.438 Å, b = 5.929 Å, c = 6.263 Å
α = 90.00°, β = 123.72°, γ = 90.00°
Space group C2/m (No. 12)
One atom of each set of equivalent atoms:
Li  0.000  0.000  0.000 x2
Zn  0.250  0.250  0.000 x4
Fe  0.000  0.500  0.000 x2
Fe  0.000  0.500  0.500 x2
Fe  0.150  0.000  0.436 x4
O  0.006  0.249  0.243 x8
O  0.231  0.500  0.199 x4
O  0.246  0.500  0.739 x4